(1)
Theoretical powder diffractogram of Ba4Zr3CdO12 for Cu Ka, from a structure optimized by DFT (GGA-PBE).
Neutral-atom scattering factors, no anomalous dispersion.

Most intense lines, 5 to 70 degrees two-theta, low angle first:
| 2theta | I_rel |
| --- | --- |
| 29.53 | 100 |
| 36.37 | 6 |
| 42.25 | 31 |
| 52.39 | 40 |
| 61.29 | 19 |
| 69.48 | 17 |

a = 8.556 Å, b = 8.556 Å, c = 8.556 Å
α = 90.00°, β = 90.00°, γ = 90.00°
Space group Im-3m (No. 229)
Asymmetric unit:
Ba 0.250 0.250 0.250
Zr 0.000 0.000 0.500
Cd 0.000 0.000 0.000
O 0.000 0.000 0.259
O 0.000 0.250 0.500

***

(2)
Theoretical powder diffractogram of LiAc6Zn5 for Cu Ka, from a structure optimized by DFT (GGA-PBE).
Neutral-atom scattering factors, no anomalous dispersion.

Most intense lines, 5 to 70 degrees two-theta, low angle first:
| 2theta | I_rel |
| --- | --- |
| 12.44 | 1 |
| 22.64 | 38 |
| 32.23 | 100 |
| 39.75 | 12 |
| 46.12 | 6 |
| 46.28 | 12 |
| 51.98 | 6 |
| 52.11 | 12 |
| 57.44 | 26 |
| 57.53 | 13 |
| 67.42 | 10 |
| 67.58 | 2 |

a = 5.545 Å, b = 7.873 Å, c = 16.656 Å
α = 90.00°, β = 90.00°, γ = 90.00°
Space group Immm (No. 71)
Asymmetric unit:
Li 0.000 0.000 0.000
Ac 0.000 0.241 0.500
Ac 0.000 0.254 0.170
Zn 0.000 0.000 0.334
Zn 0.000 0.500 0.000
Zn 0.000 0.500 0.340

***

(3)
Theoretical powder diffractogram of ZnAg8Se6 for Cu Ka, from a structure optimized by DFT (GGA-PBE).
Neutral-atom scattering factors, no anomalous dispersion.

Most intense lines, 5 to 70 degrees two-theta, low angle first:
| 2theta | I_rel |
| --- | --- |
| 26.11 | 56 |
| 27.61 | 100 |
| 28.11 | 72 |
| 29.89 | 52 |
| 35.38 | 100 |
| 38.16 | 46 |
| 40.36 | 53 |
| 40.97 | 50 |
| 41.89 | 78 |
| 43.70 | 43 |
| 44.77 | 57 |
| 46.74 | 97 |

a = 8.097 Å, b = 7.878 Å, c = 10.720 Å
α = 90.00°, β = 90.00°, γ = 90.00°
Space group Pmn2_1 (No. 31)
Asymmetric unit:
Zn 0.000 0.235 0.000
Ag 0.000 0.800 0.964
Ag 0.000 0.872 0.520
Ag 0.196 0.970 0.756
Ag 0.198 0.395 0.362
Ag 0.242 0.333 0.637
Se 0.000 0.004 0.150
Se 0.000 0.210 0.512
Se 0.000 0.472 0.154
Se 0.000 0.694 0.737
Se 0.247 0.740 0.385

***

(4)
Theoretical powder diffractogram of Rb2BeOsI6 for Cu Ka, from a structure optimized by DFT (GGA-PBE).
Neutral-atom scattering factors, no anomalous dispersion.

Most intense lines, 5 to 70 degrees two-theta, low angle first:
| 2theta | I_rel |
| --- | --- |
| 12.75 | 45 |
| 14.45 | 41 |
| 25.22 | 67 |
| 25.66 | 100 |
| 29.14 | 98 |
| 30.83 | 31 |
| 32.71 | 31 |
| 41.69 | 31 |
| 42.94 | 42 |
| 44.37 | 57 |
| 49.38 | 30 |
| 58.37 | 30 |

a = 8.666 Å, b = 8.666 Å, c = 11.600 Å
α = 90.00°, β = 90.00°, γ = 90.00°
Space group I4/mmm (No. 139)
Asymmetric unit:
Rb 0.000 0.500 0.250
Be 0.000 0.000 0.000
Os 0.000 0.000 0.500
I 0.000 0.000 0.192
I 0.217 0.217 0.500

***

(5)
Theoretical powder diffractogram of K3Bi2Sb for Cu Ka, from a structure optimized by DFT (GGA-PBE).
Neutral-atom scattering factors, no anomalous dispersion.

Most intense lines, 5 to 70 degrees two-theta, low angle first:
| 2theta | I_rel |
| --- | --- |
| 16.37 | 52 |
| 16.77 | 88 |
| 18.92 | 32 |
| 19.27 | 28 |
| 20.48 | 40 |
| 20.64 | 50 |
| 29.73 | 26 |
| 30.12 | 100 |
| 30.60 | 36 |
| 32.37 | 40 |
| 32.86 | 27 |
| 34.92 | 84 |

a = 8.895 Å, b = 10.408 Å, c = 11.109 Å
α = 90.00°, β = 102.86°, γ = 90.00°
Space group P2_1/c (No. 14)
Asymmetric unit:
K 0.140 0.108 0.457
K 0.219 0.073 0.107
K 0.285 0.712 0.357
Bi 0.075 0.108 0.774
Bi 0.469 0.567 0.121
Sb 0.408 0.141 0.807

***

(6)
Theoretical powder diffractogram of Sr3InAg6Sn2 for Cu Ka, from a structure optimized by DFT (GGA-PBE).
Neutral-atom scattering factors, no anomalous dispersion.

Most intense lines, 5 to 70 degrees two-theta, low angle first:
| 2theta | I_rel |
| --- | --- |
| 18.89 | 45 |
| 24.25 | 26 |
| 29.21 | 29 |
| 34.21 | 100 |
| 35.01 | 77 |
| 38.31 | 75 |
| 39.26 | 52 |
| 43.33 | 45 |
| 55.06 | 25 |
| 58.67 | 32 |
| 60.57 | 37 |
| 65.31 | 30 |

a = 6.1149 Å, b = 6.1149 Å, c = 10.1862 Å
α = 90.00°, β = 90.00°, γ = 120.00°
Space group P-3m1 (No. 164)
Asymmetric unit:
Sr 0.0000 0.0000 0.0000
Sr 0.3333 0.6667 0.5984
In 0.0000 0.0000 0.5000
Ag 0.1690 0.3380 0.2822
Sn 0.3333 0.6667 0.0608

***

(7)
Theoretical powder diffractogram of MgAlCu for Cu Ka, from a structure optimized by DFT (GGA-PBE).
Neutral-atom scattering factors, no anomalous dispersion.

Most intense lines, 5 to 70 degrees two-theta, low angle first:
| 2theta | I_rel |
| --- | --- |
| 19.50 | 88 |
| 20.78 | 74 |
| 28.65 | 46 |
| 36.23 | 38 |
| 37.70 | 35 |
| 39.60 | 29 |
| 41.36 | 58 |
| 42.02 | 55 |
| 42.29 | 27 |
| 45.13 | 63 |
| 46.72 | 100 |
| 46.97 | 50 |

a = 4.976 Å, b = 8.548 Å, c = 9.104 Å
α = 90.00°, β = 90.00°, γ = 90.00°
Space group Fmmm (No. 69)
Asymmetric unit:
Mg 0.000 0.166 0.000
Al 0.000 0.000 0.340
Cu 0.250 0.250 0.250

***

(8)
Theoretical powder diffractogram of YZrAl2 for Cu Ka, from a structure optimized by DFT (GGA-PBE).
Neutral-atom scattering factors, no anomalous dispersion.

Most intense lines, 5 to 70 degrees two-theta, low angle first:
| 2theta | I_rel |
| --- | --- |
| 25.62 | 53 |
| 31.51 | 17 |
| 33.63 | 100 |
| 34.88 | 56 |
| 37.71 | 41 |
| 40.64 | 13 |
| 41.06 | 26 |
| 52.18 | 13 |
| 52.31 | 16 |
| 52.65 | 11 |
| 54.94 | 29 |
| 66.16 | 15 |

a = 4.397 Å, b = 3.506 Å, c = 11.357 Å
α = 90.00°, β = 90.00°, γ = 90.00°
Space group Amm2 (No. 38)
Asymmetric unit:
Y 0.000 0.000 0.000
Zr 0.500 0.000 0.685
Al 0.000 0.000 0.267
Al 0.500 0.000 0.404

***

(9)
Theoretical powder diffractogram of LiAc3Ir2O9 for Cu Ka, from a structure optimized by DFT (GGA-PBE).
Neutral-atom scattering factors, no anomalous dispersion.

Most intense lines, 5 to 70 degrees two-theta, low angle first:
| 2theta | I_rel |
| --- | --- |
| 12.66 | 5 |
| 18.03 | 13 |
| 22.09 | 24 |
| 31.39 | 100 |
| 31.49 | 95 |
| 38.80 | 13 |
| 45.06 | 53 |
| 50.80 | 6 |
| 55.81 | 18 |
| 56.03 | 61 |
| 65.50 | 15 |
| 65.74 | 16 |

a = 5.6818 Å, b = 5.6818 Å, c = 6.9929 Å
α = 90.00°, β = 90.00°, γ = 120.00°
Space group P-3m1 (No. 164)
Asymmetric unit:
Li 0.0000 0.0000 0.0000
Ac 0.0000 0.0000 0.5000
Ac 0.3333 0.6667 0.1487
Ir 0.3333 0.6667 0.6688
O 0.0000 0.5000 0.5000
O 0.1699 0.3397 0.8330

***

(10)
Theoretical powder diffractogram of PrYPt6 for Cu Ka, from a structure optimized by DFT (GGA-PBE).
Neutral-atom scattering factors, no anomalous dispersion.

Most intense lines, 5 to 70 degrees two-theta, low angle first:
| 2theta | I_rel |
| --- | --- |
| 16.53 | 1 |
| 23.46 | 6 |
| 33.41 | 22 |
| 37.49 | 100 |
| 41.23 | 49 |
| 47.97 | 1 |
| 54.07 | 1 |
| 59.72 | 13 |
| 62.43 | 23 |
| 65.07 | 26 |

a = 5.364 Å, b = 5.364 Å, c = 5.364 Å
α = 90.00°, β = 90.00°, γ = 90.00°
Space group Pm-3 (No. 200)
Asymmetric unit:
Pr 0.000 0.000 0.000
Y 0.500 0.500 0.500
Pt 0.000 0.252 0.500

***

(11)
Theoretical powder diffractogram of FeReTc2 for Cu Ka, from a structure optimized by DFT (GGA-PBE).
Neutral-atom scattering factors, no anomalous dispersion.

Most intense lines, 5 to 70 degrees two-theta, low angle first:
| 2theta | I_rel |
| --- | --- |
| 23.54 | 1 |
| 26.06 | 25 |
| 33.04 | 1 |
| 40.97 | 100 |
| 42.95 | 7 |
| 47.43 | 33 |
| 48.15 | 16 |
| 54.91 | 7 |
| 65.89 | 4 |
| 66.48 | 2 |
| 69.32 | 10 |
| 69.90 | 20 |

a = 3.834 Å, b = 3.834 Å, c = 7.559 Å
α = 90.00°, β = 90.00°, γ = 90.00°
Space group I4/mmm (No. 139)
Asymmetric unit:
Fe 0.000 0.000 0.000
Re 0.000 0.000 0.500
Tc 0.000 0.500 0.250

***

(12)
Theoretical powder diffractogram of Cs2TmGe2O6 for Cu Ka, from a structure optimized by DFT (GGA-PBE).
Neutral-atom scattering factors, no anomalous dispersion.

Most intense lines, 5 to 70 degrees two-theta, low angle first:
| 2theta | I_rel |
| --- | --- |
| 17.34 | 7 |
| 25.66 | 34 |
| 29.03 | 100 |
| 29.61 | 82 |
| 39.13 | 24 |
| 41.95 | 25 |
| 49.46 | 12 |
| 51.46 | 20 |
| 51.82 | 32 |
| 54.06 | 30 |
| 60.17 | 18 |
| 68.48 | 14 |

a = 6.1512 Å, b = 6.1512 Å, c = 18.3043 Å
α = 90.00°, β = 90.00°, γ = 120.00°
Space group R-3m (No. 166, hexagonal axes)
Asymmetric unit:
Cs 0.0000 0.0000 0.2201
Tm 0.0000 0.0000 0.0000
Ge 0.0000 0.0000 0.4244
O 0.0120 0.5060 0.2630